Diffraction record for Be4Pb. The PXRD pattern is theoretical, not measured: it uses a DFT-relaxed cell (PBE, Alexandria) and copper Kα.
Peak positions follow from Bragg's law for the DFT cell and can differ from measured ones.

Cell and atoms:
abc: 5.606 5.606 5.606
angles: 90.00 90.00 90.00
Space group Im-3m (No. 229)
Unique sites:
Be1 0.250 0.250 0.250 [8 per cell]
Pb1 0.000 0.000 0.000 [2 per cell]

Top 8 peaks for 5° ≤ 2θ ≤ 70°, in order of rising 2θ:
2theta  Rel. int.
22.4  100
31.9  16
39.4  49
45.8  20
51.5  23
56.9  4
61.9  26
66.7  3

=====

Diffraction record for Pm3HoSc. The PXRD pattern is theoretical, not measured: it uses a DFT-relaxed cell (PBE, Alexandria) and copper Kα.
Peak positions follow from Bragg's law for the DFT cell and can differ from measured ones.

Cell and atoms:
abc: 3.521 17.395 10.665
angles: 90.00 90.00 90.00
Space group Pbcm (No. 57)
Unique sites:
Pm1 0.249 0.077 0.060 [8 per cell]
Pm2 0.251 0.750 0.000 [4 per cell]
Ho1 0.251 0.604 0.750 [4 per cell]
Sc1 0.249 0.228 0.250 [4 per cell]

Top 8 peaks for 5° ≤ 2θ ≤ 70°, in order of rising 2θ:
2theta  Rel. int.
27.1  73
29.7  15
30.8  38
32.5  24
34.2  100
50.3  17
51.9  15
57.0  29

=====

Diffraction record for CsCeTiSe4. The PXRD pattern is theoretical, not measured: it uses a DFT-relaxed cell (PBE, Alexandria) and copper Kα.
Peak positions follow from Bragg's law for the DFT cell and can differ from measured ones.

Cell and atoms:
abc: 7.040 7.100 9.950
angles: 90.00 108.33 90.00
Space group P2_1/m (No. 11)
Unique sites:
Cs1 0.234 0.250 0.439 [2 per cell]
Ce1 0.277 0.250 0.953 [2 per cell]
Ti1 0.277 0.750 0.165 [2 per cell]
Se1 0.069 0.750 0.927 [2 per cell]
Se2 0.072 0.750 0.315 [2 per cell]
Se3 0.489 0.508 0.799 [4 per cell]

Top 8 peaks for 5° ≤ 2θ ≤ 70°, in order of rising 2θ:
2theta  Rel. int.
9.4  91
25.1  61
27.4  76
28.5  70
29.2  100
30.2  70
31.5  64
31.8  62